Starting from a cell relaxed with GGA-PBE, the PXRD pattern of GePb3Au3 was simulated for a wavelength of 1.5418 Å.
Intensities are scaled so that the largest is 100.

Structure:
a = 7.239 Å, b = 7.239 Å, c = 7.748 Å
α = 95.52°, β = 95.52°, γ = 117.77°
Positions (direct):
Ge 0.170 0.170 0.472
Ge 0.830 0.830 0.528
Pb 0.170 0.170 0.894
Pb 0.255 0.745 0.500
Pb 0.297 0.703 0.000
Pb 0.703 0.297 0.000
Pb 0.745 0.255 0.500
Pb 0.830 0.830 0.106
Au 0.069 0.350 0.233
Au 0.350 0.069 0.233
Au 0.472 0.472 0.697
Au 0.528 0.528 0.303
Au 0.650 0.931 0.767
Au 0.931 0.650 0.767

Principal peaks in the range 2θ from 10° to 80°, in order of rising 2θ:
2theta  I/Imax
27.50  24
28.36  98
28.83  27
33.83  100
35.86  56
35.96  46
37.06  40
37.42  81
37.98  38
38.38  25